# 1
# MgCo2N2
Simulated XRD peak list, Cu Kα, 1.54184 Å. Input: a DFT-relaxed cell (GGA-PBE, Alexandria).

Most intense lines, 10° ≤ 2θ ≤ 90°, in order of rising 2θ:
(1 0 0), d = 3.457 Å, intensity 99.1
(1 0 1), d = 2.857 Å, intensity 23.8
(0 0 2), d = 2.538 Å, intensity 33.6
(1 1 0), d = 2.445 Å, intensity 59.5
(1 0 2), d = 2.046 Å, intensity 100.0
(1 1 2), d = 1.761 Å, intensity 14.9
(2 0 0), d = 1.729 Å, intensity 38.3
(2 1 0), d = 1.546 Å, intensity 16.4
(2 0 2), d = 1.429 Å, intensity 17.7
(2 1 2), d = 1.320 Å, intensity 42.8

```
data_MgCo2N2
_chemical_formula_sum 'Mg1 Co2 N2'
_cell_length_a 3.457
_cell_length_b 3.457
_cell_length_c 5.076
_cell_angle_alpha 90.00
_cell_angle_beta 90.00
_cell_angle_gamma 90.00
_space_group_name_H-M_alt 'P -4 m 2'
_space_group_IT_number 115
loop_
_space_group_symop_operation_xyz
'x,y,z'
'y,-x,-z'
'-x,-y,z'
'-y,x,-z'
'-x,y,z'
'-y,-x,-z'
'x,-y,z'
'y,x,-z'
loop_
_atom_site_label
_atom_site_type_symbol
_atom_site_fract_x
_atom_site_fract_y
_atom_site_fract_z
Mg1 Mg 0.000 0.000 0.000
Co1 Co 0.500 0.500 0.261
N1 N 0.000 0.500 0.737
```



# 2
# Mg5CoN4
Simulated XRD peak list, Cu Kα, 1.54184 Å. Input: a DFT-relaxed cell (GGA-PBE, Alexandria).

Most intense lines, 10° ≤ 2θ ≤ 90°, in order of rising 2θ:
(1 1 0), d = 4.875 Å, intensity 24.6
(0 1 1), d = 4.191 Å, intensity 53.9
(2 1 1), d = 2.614 Å, intensity 90.9
(0 0 2), d = 2.592 Å, intensity 34.2
(2 2 0), d = 2.437 Å, intensity 42.9
(0 3 1), d = 2.158 Å, intensity 67.3
(2 2 2), d = 1.776 Å, intensity 100.0
(4 0 0), d = 1.672 Å, intensity 26.5
(4 3 1), d = 1.322 Å, intensity 24.4
(2 5 1), d = 1.270 Å, intensity 22.8

```
data_Mg5CoN4
_chemical_formula_sum 'Mg10 Co2 N8'
_cell_length_a 6.689
_cell_length_b 7.120
_cell_length_c 5.184
_cell_angle_alpha 90.00
_cell_angle_beta 90.00
_cell_angle_gamma 90.00
_space_group_name_H-M_alt 'P m m n'
_space_group_IT_number 59
loop_
_space_group_symop_operation_xyz
'x,y,z'
'-x,-y,-z'
'-x+1/2,-y+1/2,z'
'x+1/2,y+1/2,-z'
'x+1/2,-y,-z'
'-x+1/2,y,z'
'-x,y+1/2,-z'
'x,-y+1/2,z'
loop_
_atom_site_label
_atom_site_type_symbol
_atom_site_fract_x
_atom_site_fract_y
_atom_site_fract_z
Mg1 Mg 0.004 0.050 0.249
Mg2 Mg 0.250 0.250 0.717
Co1 Co 0.250 0.750 0.275
N1 N 0.004 0.750 0.051
N2 N 0.250 0.501 0.503
```



# 3
# MgCoSnN
Simulated XRD peak list, Cu Kα, 1.54184 Å. Input: a DFT-relaxed cell (GGA-PBE, Alexandria).

Most intense lines, 10° ≤ 2θ ≤ 90°, in order of rising 2θ:
(0 0 1), d = 6.685 Å, intensity 100.0
(0 1 1), d = 2.891 Å, intensity 53.5
(1 0 -1), d = 2.781 Å, intensity 27.1
(1 0 1), d = 2.405 Å, intensity 20.0
(1 0 -2), d = 2.389 Å, intensity 19.8
(0 1 2), d = 2.314 Å, intensity 58.9
(1 1 -1), d = 2.101 Å, intensity 65.1
(1 0 2), d = 1.955 Å, intensity 17.4
(1 0 -3), d = 1.941 Å, intensity 17.0
(0 0 4), d = 1.670 Å, intensity 18.1

```
data_MgCoSnN
_chemical_formula_sum 'Mg1 Co1 Sn1 N1'
_cell_length_a 2.843
_cell_length_b 3.206
_cell_length_c 6.825
_cell_angle_alpha 90.00
_cell_angle_beta 101.62
_cell_angle_gamma 90.00
_space_group_name_H-M_alt 'P 1 m 1'
_space_group_IT_number 6
loop_
_space_group_symop_operation_xyz
'x,y,z'
'x,-y,z'
loop_
_atom_site_label
_atom_site_type_symbol
_atom_site_fract_x
_atom_site_fract_y
_atom_site_fract_z
Mg1 Mg 0.000 0.000 0.000
Co1 Co 0.857 0.500 0.701
Sn1 Sn 0.234 0.000 0.444
N1 N 0.449 0.500 0.892
```



# 4
# Mg14NbCo
Simulated XRD peak list, Cu Kα, 1.54184 Å. Input: a DFT-relaxed cell (GGA-PBE, Alexandria).

Most intense lines, 10° ≤ 2θ ≤ 90°, in order of rising 2θ:
(1 0 0), d = 5.417 Å, intensity 28.4
(1 0 2), d = 3.642 Å, intensity 14.7
(2 0 0), d = 2.708 Å, intensity 27.4
(0 0 4), d = 2.461 Å, intensity 24.4
(2 0 2), d = 2.373 Å, intensity 100.0
(2 0 4), d = 1.821 Å, intensity 16.2
(2 2 0), d = 1.564 Å, intensity 16.7
(2 0 6), d = 1.403 Å, intensity 17.1
(2 2 4), d = 1.320 Å, intensity 18.0
(4 0 2), d = 1.306 Å, intensity 13.2

```
data_Mg14NbCo
_chemical_formula_sum 'Mg14 Nb1 Co1'
_cell_length_a 6.2547
_cell_length_b 6.2547
_cell_length_c 9.8423
_cell_angle_alpha 90.00
_cell_angle_beta 90.00
_cell_angle_gamma 120.00
_space_group_name_H-M_alt 'P -6 m 2'
_space_group_IT_number 187
_space_group_name_Hall 'P -6 2'
loop_
_atom_site_label
_atom_site_type_symbol
_atom_site_fract_x
_atom_site_fract_y
_atom_site_fract_z
Mg1 Mg 0.0000 0.0000 0.2420
Mg2 Mg 0.0188 0.5094 0.2572
Mg3 Mg 0.3304 0.1652 0.5000
Mg4 Mg 0.3410 0.1705 0.0000
Nb1 Nb 0.3333 0.6667 0.0000
Co1 Co 0.3333 0.6667 0.5000
```



# 5
# MgNb3Co8
Simulated XRD peak list, Cu Kα, 1.54184 Å. Input: a DFT-relaxed cell (GGA-PBE, Alexandria).

Most intense lines, 10° ≤ 2θ ≤ 90°, in order of rising 2θ:
(1 1 0), d = 2.385 Å, intensity 38.3
(0 1 3), d = 2.194 Å, intensity 83.3
(1 1 2), d = 2.033 Å, intensity 100.0
(0 2 1), d = 1.996 Å, intensity 86.8
(0 0 4), d = 1.942 Å, intensity 14.5
(2 0 2), d = 1.824 Å, intensity 16.7
(1 2 3), d = 1.337 Å, intensity 29.7
(0 3 2), d = 1.298 Å, intensity 21.3
(2 0 5), d = 1.242 Å, intensity 26.4
(2 2 0), d = 1.193 Å, intensity 24.7

```
data_MgNb3Co8
_chemical_formula_sum 'Mg1 Nb3 Co8'
_cell_length_a 4.7701
_cell_length_b 4.7701
_cell_length_c 7.7692
_cell_angle_alpha 90.00
_cell_angle_beta 90.00
_cell_angle_gamma 120.00
_space_group_name_H-M_alt 'P 3 m 1'
_space_group_IT_number 156
loop_
_space_group_symop_operation_xyz
'x,y,z'
'-y,x-y,z'
'-x+y,-x,z'
'-y,-x,z'
'-x+y,y,z'
'x,x-y,z'
loop_
_atom_site_label
_atom_site_type_symbol
_atom_site_fract_x
_atom_site_fract_y
_atom_site_fract_z
Mg1 Mg 0.0000 0.0000 0.0000
Nb1 Nb 0.0000 0.0000 0.3673
Nb2 Nb 0.6667 0.3333 0.5118
Nb3 Nb 0.6667 0.3333 0.8819
Co1 Co 0.1641 0.3283 0.6911
Co2 Co 0.3333 0.6667 0.4466
Co3 Co 0.3333 0.6667 0.9447
Co4 Co 0.5023 0.0047 0.1949
```